Starting from a cell relaxed with GGA-PBE, the PXRD pattern of SrB14Mo was calculated for Cu Kα, 1.54184 Å.
Intensities are scaled so that the largest is 100.

Largest 8 diffraction maxima, by angle, 10 to 80 degrees two-theta:
| 2θ/deg | I_rel | index |
| --- | --- | --- |
| 13.3 | 25 | 0 1 1 |
| 16.1 | 78 | 0 2 0 |
| 24.6 | 25 | 1 2 1 |
| 26.9 | 28 | 0 2 2 |
| 27.4 | 26 | 1 1 2 |
| 33.3 | 100 | 2 1 1 |
| 40.8 | 87 | 2 3 1 |
| 53.2 | 27 | 2 5 1 |

Cell and atoms:
Lattice parameters (Å, degrees): 5.8880 10.9775 8.3376 90.00 90.00 90.00
Space group Imma (No. 74)
Unique sites:
Sr: 0.0000 0.2500 0.1351 [4 per cell]
B: 0.0000 0.0815 0.6675 [8 per cell]
B: 0.0000 0.1213 0.8702 [8 per cell]
B: 0.0000 0.1662 0.4700 [8 per cell]
B: 0.1602 0.0601 0.3393 [16 per cell]
B: 0.2467 0.0770 0.5485 [16 per cell]
Mo: 0.2500 0.2500 0.7500 [4 per cell]

***

Starting from a cell relaxed with GGA-PBE, the PXRD pattern of SrB3Mo was calculated for Cu Kα, 1.54184 Å.
Intensities are scaled so that the largest is 100.

Largest 7 diffraction maxima, by angle, 10 to 80 degrees two-theta:
| 2θ/deg | I_rel | index |
| --- | --- | --- |
| 20.7 | 2 | 1 0 0 |
| 29.5 | 100 | 1 1 0 |
| 42.2 | 25 | 2 0 0 |
| 52.3 | 39 | 2 1 1 |
| 61.2 | 16 | 2 2 0 |
| 69.4 | 17 | 3 1 0 |
| 77.2 | 6 | 2 2 2 |

Cell and atoms:
Lattice parameters (Å, degrees): 4.2824 4.2824 4.2824 90.00 90.00 90.00
Space group Pm-3m (No. 221)
Unique sites:
Sr: 0.0000 0.0000 0.0000 [1 per cell]
B: 0.0000 0.5000 0.5000 [3 per cell]
Mo: 0.5000 0.5000 0.5000 [1 per cell]

***

Starting from a cell relaxed with GGA-PBE, the PXRD pattern of Tc3B4Mo3 was calculated for Cu Kα, 1.54184 Å.
Intensities are scaled so that the largest is 100.

Largest 8 diffraction maxima, by angle, 10 to 80 degrees two-theta:
| 2θ/deg | I_rel | index |
| --- | --- | --- |
| 33.2 | 41 | 0 3 1 |
| 33.5 | 40 | 0 1 3 |
| 35.7 | 35 | 1 2 0 |
| 35.8 | 35 | 1 0 2 |
| 41.8 | 100 | 1 2 2 |
| 44.5 | 47 | 1 3 1 |
| 44.7 | 47 | 1 1 3 |
| 48.1 | 32 | 0 2 4 |

Cell and atoms:
Lattice parameters (Å, degrees): 3.1149 8.5295 8.4443 90.00 90.00 90.00
Space group Amm2 (No. 38)
Unique sites:
Tc: 0.0000 0.0000 0.0000 [2 per cell]
Tc: 0.5000 0.2492 0.5858 [4 per cell]
B: 0.5000 0.0000 0.2181 [2 per cell]
B: 0.5000 0.0000 0.4483 [2 per cell]
B: 0.5000 0.1142 0.8354 [4 per cell]
Mo: 0.0000 0.0000 0.6632 [2 per cell]
Mo: 0.0000 0.1702 0.3343 [4 per cell]

***

Starting from a cell relaxed with GGA-PBE, the PXRD pattern of Tc5B2MoW2 was calculated for Cu Kα, 1.54184 Å.
Intensities are scaled so that the largest is 100.

Largest 8 diffraction maxima, by angle, 10 to 80 degrees two-theta:
| 2θ/deg | I_rel | index |
| --- | --- | --- |
| 36.5 | 94 | 2 1 1 |
| 39.7 | 93 | 4 1 0 |
| 40.3 | 35 | 2 2 1 |
| 40.9 | 23 | 3 3 0 |
| 42.6 | 100 | 3 1 1 |
| 43.2 | 31 | 4 2 0 |
| 46.0 | 28 | 3 2 1 |
| 75.3 | 28 | 4 1 2 |

Cell and atoms:
Lattice parameters (Å, degrees): 9.3680 9.3680 3.0377 90.00 90.00 90.00
Space group P4/mbm (No. 127)
Unique sites:
Tc: 0.0000 0.5000 0.0000 [2 per cell]
Tc: 0.0710 0.2148 0.0000 [8 per cell]
B: 0.1229 0.3771 0.5000 [4 per cell]
Mo: 0.0000 0.0000 0.5000 [2 per cell]
W: 0.1768 0.6768 0.5000 [4 per cell]

***

Starting from a cell relaxed with GGA-PBE, the PXRD pattern of ThB14Mo was calculated for Cu Kα, 1.54184 Å.
Intensities are scaled so that the largest is 100.

Largest 8 diffraction maxima, by angle, 10 to 80 degrees two-theta:
| 2θ/deg | I_rel | index |
| --- | --- | --- |
| 16.0 | 100 | 0 2 0 |
| 18.5 | 35 | 1 0 1 |
| 24.6 | 55 | 1 2 1 |
| 27.6 | 67 | 1 1 2 |
| 33.3 | 57 | 2 1 1 |
| 36.0 | 53 | 1 3 2 |
| 40.7 | 43 | 2 3 1 |
| 41.0 | 32 | 0 3 3 |

Cell and atoms:
Lattice parameters (Å, degrees): 5.8941 11.0756 8.2420 90.00 90.00 90.00
Space group Imma (No. 74)
Unique sites:
Th: 0.0000 0.2500 0.1230 [4 per cell]
B: 0.0000 0.0789 0.6714 [8 per cell]
B: 0.0000 0.1176 0.8682 [8 per cell]
B: 0.0000 0.1677 0.4722 [8 per cell]
B: 0.1613 0.0644 0.3401 [16 per cell]
B: 0.2467 0.0753 0.5513 [16 per cell]
Mo: 0.2500 0.2500 0.7500 [4 per cell]

***

Starting from a cell relaxed with GGA-PBE, the PXRD pattern of Th2B10Mo was calculated for Cu Kα, 1.54184 Å.
Intensities are scaled so that the largest is 100.

Largest 8 diffraction maxima, by angle, 10 to 80 degrees two-theta:
| 2θ/deg | I_rel | index |
| --- | --- | --- |
| 21.1 | 27 | 0 0 1 |
| 21.6 | 83 | 1 2 0 |
| 30.4 | 100 | 1 2 1 |
| 37.6 | 43 | 2 0 1 |
| 37.7 | 45 | 0 4 1 |
| 44.1 | 28 | 2 4 0 |
| 48.6 | 28 | 1 2 2 |
| 63.3 | 16 | 2 4 2 |

Cell and atoms:
Lattice parameters (Å, degrees): 5.8258 11.5956 4.2082 90.00 90.00 90.00
Space group Pbam (No. 55)
Unique sites:
Th: 0.2287 0.1315 0.0000 [4 per cell]
B: 0.0737 0.3053 0.5000 [4 per cell]
B: 0.1163 0.9575 0.5000 [4 per cell]
B: 0.1190 0.8025 0.5000 [4 per cell]
B: 0.2345 0.3791 0.2007 [8 per cell]
Mo: 0.0000 0.5000 0.5000 [2 per cell]

***

Starting from a cell relaxed with GGA-PBE, the PXRD pattern of TiB2Mo was calculated for Cu Kα, 1.54184 Å.
Intensities are scaled so that the largest is 100.

Largest 8 diffraction maxima, by angle, 10 to 80 degrees two-theta:
| 2θ/deg | I_rel | index |
| --- | --- | --- |
| 24.7 | 40 | 0 1 1 |
| 30.1 | 37 | 0 0 2 |
| 35.1 | 65 | 1 1 0 |
| 36.2 | 48 | 0 1 2 |
| 38.4 | 100 | 1 1 1 |
| 42.2 | 74 | 1 0 2 |
| 42.7 | 78 | 0 2 1 |
| 52.4 | 39 | 1 2 1 |

Cell and atoms:
Lattice parameters (Å, degrees): 3.0938 4.5299 5.9339 90.00 90.00 90.00
Space group Pmc2_1 (No. 26)
Unique sites:
Ti: 0.0000 0.1310 0.0000 [2 per cell]
B: 0.0000 0.3478 0.3592 [2 per cell]
B: 0.5000 0.1445 0.2962 [2 per cell]
Mo: 0.5000 0.3747 0.6522 [2 per cell]

***

Starting from a cell relaxed with GGA-PBE, the PXRD pattern of TiBMo was calculated for Cu Kα, 1.54184 Å.
Intensities are scaled so that the largest is 100.

Largest 8 diffraction maxima, by angle, 10 to 80 degrees two-theta:
| 2θ/deg | I_rel | index |
| --- | --- | --- |
| 11.9 | 79 | 0 2 0 |
| 33.3 | 31 | 1 3 0 |
| 37.9 | 72 | 0 4 1 |
| 41.0 | 100 | 1 1 1 |
| 41.4 | 71 | 1 5 0 |
| 47.0 | 26 | 0 6 1 |
| 71.1 | 22 | 1 9 1 |
| 75.3 | 23 | 1 5 2 |

Cell and atoms:
Lattice parameters (Å, degrees): 3.2071 14.8467 3.0944 90.00 90.00 90.00
Space group Cmcm (No. 63)
Unique sites:
Ti: 0.0000 0.0858 0.2500 [4 per cell]
B: 0.0000 0.4684 0.2500 [4 per cell]
Mo: 0.0000 0.2996 0.2500 [4 per cell]

***

Starting from a cell relaxed with GGA-PBE, the PXRD pattern of VB4Mo6 was calculated for Cu Kα, 1.54184 Å.
Intensities are scaled so that the largest is 100.

Largest 8 diffraction maxima, by angle, 10 to 80 degrees two-theta:
| 2θ/deg | I_rel | index |
| --- | --- | --- |
| 31.0 | 28 | 1 1 2 |
| 37.0 | 51 | 2 1 1 |
| 38.4 | 100 | 2 0 2 |
| 43.8 | 21 | 0 0 4 |
| 45.1 | 24 | 2 2 0 |
| 48.7 | 22 | 2 1 3 |
| 64.7 | 15 | 2 2 4 |
| 69.1 | 17 | 4 1 1 |

Cell and atoms:
Lattice parameters (Å, degrees): 5.6828 5.6828 8.2653 90.00 90.00 90.00
Space group I-42m (No. 121)
Unique sites:
V: 0.0000 0.0000 0.0000 [2 per cell]
B: 0.1357 0.1357 0.4420 [8 per cell]
Mo: 0.0000 0.5000 0.0000 [4 per cell]
Mo: 0.1901 0.1901 0.7264 [8 per cell]

***

Starting from a cell relaxed with GGA-PBE, the PXRD pattern of YBMo was calculated for Cu Kα, 1.54184 Å.
Intensities are scaled so that the largest is 100.

Largest 8 diffraction maxima, by angle, 10 to 80 degrees two-theta:
| 2θ/deg | I_rel | index |
| --- | --- | --- |
| 11.5 | 55 | 0 0 1 |
| 26.9 | 51 | 1 0 1 |
| 33.8 | 45 | 1 0 2 |
| 35.0 | 45 | 0 0 3 |
| 36.5 | 100 | 1 1 1 |
| 42.0 | 65 | 1 1 2 |
| 49.7 | 37 | 2 0 0 |
| 62.2 | 32 | 2 0 3 |

Cell and atoms:
Lattice parameters (Å, degrees): 3.6723 3.6723 7.6865 90.00 90.00 90.00
Space group P4/nmm (No. 129, origin choice 2)
Unique sites:
Y: 0.2500 0.2500 0.1600 [2 per cell]
B: 0.2500 0.2500 0.7016 [2 per cell]
Mo: 0.2500 0.7500 0.5000 [2 per cell]

***

Starting from a cell relaxed with GGA-PBE, the PXRD pattern of Y3B7Mo was calculated for Cu Kα, 1.54184 Å.
Intensities are scaled so that the largest is 100.

Largest 8 diffraction maxima, by angle, 10 to 80 degrees two-theta:
| 2θ/deg | I_rel | index |
| --- | --- | --- |
| 26.2 | 97 | 1 1 0 |
| 29.2 | 82 | 0 4 2 |
| 30.4 | 76 | 0 2 3 |
| 33.6 | 37 | 0 6 0 |
| 36.2 | 41 | 0 4 3 |
| 38.2 | 31 | 1 5 0 |
| 38.9 | 100 | 1 1 3 |
| 39.4 | 73 | 1 5 1 |

Cell and atoms:
Lattice parameters (Å, degrees): 3.4797 16.0206 9.4891 90.00 90.00 90.00
Space group Cmcm (No. 63)
Unique sites:
Y: 0.0000 0.1065 0.0602 [8 per cell]
Y: 0.0000 0.2433 0.7500 [4 per cell]
B: 0.0000 0.2726 0.0329 [8 per cell]
B: 0.0000 0.3653 0.1472 [8 per cell]
B: 0.0000 0.4569 0.7500 [4 per cell]
B: 0.0000 0.4802 0.0920 [8 per cell]
Mo: 0.0000 0.0536 0.7500 [4 per cell]

***

Starting from a cell relaxed with GGA-PBE, the PXRD pattern of Zr2B6Mo was calculated for Cu Kα, 1.54184 Å.
Intensities are scaled so that the largest is 100.

Largest 8 diffraction maxima, by angle, 10 to 80 degrees two-theta:
| 2θ/deg | I_rel | index |
| --- | --- | --- |
| 25.5 | 37 | 0 0 1 |
| 33.1 | 72 | 1 1 0 |
| 42.3 | 100 | 1 1 1 |
| 52.3 | 10 | 0 0 2 |
| 59.2 | 20 | 3 0 0 |
| 63.4 | 22 | 1 1 2 |
| 65.5 | 17 | 3 0 1 |
| 75.4 | 17 | 2 2 1 |

Cell and atoms:
Lattice parameters (Å, degrees): 5.4064 5.4064 3.4961 90.00 90.00 120.00
Space group P6/mmm (No. 191)
Unique sites:
Zr: 0.3333 0.6667 0.0000 [2 per cell]
B: 0.0000 0.3281 0.5000 [6 per cell]
Mo: 0.0000 0.0000 0.0000 [1 per cell]